[1]
For Ba3Ca2Au3, DFT lattice parameters and positions (PBE) gives the theoretical X-ray diffraction stick pattern in this record (Cu Ka).
Neutral-atom scattering factors, no anomalous dispersion.

Main lines, low angle first (10 to 90 degrees two-theta):
| 2theta | intensity |
| --- | --- |
| 16.1 | 23 |
| 20.0 | 25 |
| 26.4 | 55 |
| 27.0 | 25 |
| 29.3 | 100 |
| 31.0 | 48 |
| 32.5 | 18 |
| 37.8 | 44 |
| 38.4 | 21 |
| 38.6 | 32 |

Atomic structure:
Lattice parameters (Å, degrees): 4.669 14.651 16.716 90.00 90.00 90.00
Space group Cmcm (No. 63)
Inequivalent atoms, fractional coordinates:
1 Ba 0.000 0.053 0.117 [8 per cell]
2 Ba 0.000 0.338 0.250 [4 per cell]
3 Ca 0.000 0.231 0.579 [8 per cell]
4 Au 0.000 0.332 0.750 [4 per cell]
5 Au 0.000 0.395 0.039 [8 per cell]


[2]
For BaCa2Au4, DFT lattice parameters and positions (PBE) gives the theoretical X-ray diffraction stick pattern in this record (Cu Ka).
Neutral-atom scattering factors, no anomalous dispersion.

Main lines, low angle first (10 to 90 degrees two-theta):
| 2theta | intensity |
| --- | --- |
| 22.2 | 48 |
| 25.5 | 29 |
| 29.4 | 28 |
| 30.4 | 100 |
| 36.8 | 61 |
| 38.7 | 37 |
| 39.8 | 63 |
| 44.3 | 25 |
| 46.4 | 21 |
| 58.9 | 32 |

Atomic structure:
Lattice parameters (Å, degrees): 4.093 4.648 20.079 90.00 90.00 90.00
Space group Immm (No. 71)
Inequivalent atoms, fractional coordinates:
1 Ba 0.000 0.000 0.000 [2 per cell]
2 Ca 0.000 0.500 0.188 [4 per cell]
3 Au 0.000 0.000 0.427 [4 per cell]
4 Au 0.000 0.500 0.340 [4 per cell]


[3]
For Ba4CaAu2, DFT lattice parameters and positions (PBE) gives the theoretical X-ray diffraction stick pattern in this record (Cu Ka).
Neutral-atom scattering factors, no anomalous dispersion.

Main lines, low angle first (10 to 90 degrees two-theta):
| 2theta | intensity |
| --- | --- |
| 11.1 | 81 |
| 12.1 | 46 |
| 23.4 | 46 |
| 27.1 | 59 |
| 27.3 | 48 |
| 30.0 | 36 |
| 31.6 | 100 |
| 33.9 | 74 |
| 36.8 | 40 |
| 40.5 | 33 |

Atomic structure:
Lattice parameters (Å, degrees): 8.902 18.064 8.023 90.00 90.00 90.00
Space group Ima2 (No. 46)
Inequivalent atoms, fractional coordinates:
1 Ba 0.015 0.199 0.000 [8 per cell]
2 Ba 0.250 0.512 0.371 [4 per cell]
3 Ba 0.250 0.612 0.885 [4 per cell]
4 Ca 0.250 0.094 0.372 [4 per cell]
5 Au 0.000 0.000 0.184 [4 per cell]
6 Au 0.250 0.712 0.224 [4 per cell]


[4]
For BaLi2CaAu4, DFT lattice parameters and positions (PBE) gives the theoretical X-ray diffraction stick pattern in this record (Cu Ka).
Neutral-atom scattering factors, no anomalous dispersion.

Main lines, low angle first (10 to 90 degrees two-theta):
| 2theta | intensity |
| --- | --- |
| 16.9 | 35 |
| 23.1 | 54 |
| 25.1 | 81 |
| 30.0 | 22 |
| 32.0 | 60 |
| 36.4 | 93 |
| 39.2 | 100 |
| 43.0 | 22 |
| 54.6 | 29 |
| 69.3 | 29 |

Atomic structure:
Lattice parameters (Å, degrees): 4.5936 4.5936 31.4437 90.00 90.00 120.00
Space group R-3m (No. 166, hexagonal axes)
Inequivalent atoms, fractional coordinates:
1 Ba 0.0000 0.0000 0.0000 [3 per cell]
2 Li 0.0000 0.0000 0.2413 [6 per cell]
3 Ca 0.0000 0.0000 0.5000 [3 per cell]
4 Au 0.0000 0.0000 0.1118 [6 per cell]
5 Au 0.0000 0.0000 0.4022 [6 per cell]


[5]
For BaLiCaAu, DFT lattice parameters and positions (PBE) gives the theoretical X-ray diffraction stick pattern in this record (Cu Ka).
Neutral-atom scattering factors, no anomalous dispersion.

Main lines, low angle first (10 to 90 degrees two-theta):
| 2theta | intensity |
| --- | --- |
| 11.5 | 80 |
| 22.9 | 88 |
| 27.4 | 98 |
| 29.8 | 100 |
| 38.7 | 31 |
| 39.6 | 58 |
| 41.4 | 23 |
| 50.4 | 23 |
| 53.9 | 32 |
| 65.9 | 21 |

Atomic structure:
Lattice parameters (Å, degrees): 4.5479 4.5479 23.0637 90.00 90.00 120.00
Space group R3m (No. 160, hexagonal axes)
Inequivalent atoms, fractional coordinates:
1 Ba 0.0000 0.0000 0.0000 [3 per cell]
2 Li 0.0000 0.0000 0.4358 [3 per cell]
3 Ca 0.0000 0.0000 0.1808 [3 per cell]
4 Au 0.0000 0.0000 0.7703 [3 per cell]


[6]
For Ba3Ca2Mg2Au4, DFT lattice parameters and positions (PBE) gives the theoretical X-ray diffraction stick pattern in this record (Cu Ka).
Neutral-atom scattering factors, no anomalous dispersion.

Main lines, low angle first (10 to 90 degrees two-theta):
| 2theta | intensity |
| --- | --- |
| 23.4 | 100 |
| 26.0 | 18 |
| 29.3 | 100 |
| 36.9 | 76 |
| 37.3 | 38 |
| 44.1 | 20 |
| 47.8 | 26 |
| 56.3 | 27 |
| 58.8 | 17 |
| 61.8 | 24 |

Atomic structure:
Lattice parameters (Å, degrees): 4.8775 4.8775 17.5847 90.00 90.00 120.00
Space group P-3m1 (No. 164)
Inequivalent atoms, fractional coordinates:
1 Ba 0.0000 0.0000 0.0000 [1 per cell]
2 Ba 0.0000 0.0000 0.2659 [2 per cell]
3 Ca 0.3333 0.6667 0.5629 [2 per cell]
4 Mg 0.3333 0.6667 0.1351 [2 per cell]
5 Au 0.3333 0.6667 0.3817 [2 per cell]
6 Au 0.3333 0.6667 0.8672 [2 per cell]


[7]
For BaNaCa2Au4, DFT lattice parameters and positions (PBE) gives the theoretical X-ray diffraction stick pattern in this record (Cu Ka).
Neutral-atom scattering factors, no anomalous dispersion.

Main lines, low angle first (10 to 90 degrees two-theta):
| 2theta | intensity |
| --- | --- |
| 23.6 | 61 |
| 29.6 | 22 |
| 31.9 | 69 |
| 35.2 | 100 |
| 37.1 | 28 |
| 39.8 | 16 |
| 48.3 | 22 |
| 60.0 | 16 |
| 61.2 | 22 |
| 63.2 | 18 |

Atomic structure:
Lattice parameters (Å, degrees): 5.0956 5.0956 29.0273 90.00 90.00 120.00
Space group R-3m (No. 166, hexagonal axes)
Inequivalent atoms, fractional coordinates:
1 Ba 0.0000 0.0000 0.0000 [3 per cell]
2 Na 0.0000 0.0000 0.5000 [3 per cell]
3 Ca 0.0000 0.0000 0.2315 [6 per cell]
4 Au 0.0000 0.0000 0.1226 [6 per cell]
5 Au 0.0000 0.0000 0.3982 [6 per cell]


[8]
For BaCa2PmAu4, DFT lattice parameters and positions (PBE) gives the theoretical X-ray diffraction stick pattern in this record (Cu Ka).
Neutral-atom scattering factors, no anomalous dispersion.

Main lines, low angle first (10 to 90 degrees two-theta):
| 2theta | intensity |
| --- | --- |
| 20.7 | 17 |
| 23.5 | 29 |
| 32.5 | 89 |
| 34.5 | 100 |
| 40.9 | 15 |
| 48.1 | 30 |
| 60.6 | 30 |
| 61.9 | 19 |
| 72.8 | 12 |
| 82.0 | 13 |

Atomic structure:
Lattice parameters (Å, degrees): 5.1944 5.1944 27.8868 90.00 90.00 120.00
Space group R-3m (No. 166, hexagonal axes)
Inequivalent atoms, fractional coordinates:
1 Ba 0.0000 0.0000 0.0000 [3 per cell]
2 Ca 0.0000 0.0000 0.2433 [6 per cell]
3 Pm 0.0000 0.0000 0.5000 [3 per cell]
4 Au 0.0000 0.0000 0.1294 [6 per cell]
5 Au 0.0000 0.0000 0.3920 [6 per cell]


[9]
For BaCdAu, DFT lattice parameters and positions (PBE) gives the theoretical X-ray diffraction stick pattern in this record (Cu Ka).
Neutral-atom scattering factors, no anomalous dispersion.

Main lines, low angle first (10 to 90 degrees two-theta):
| 2theta | intensity |
| --- | --- |
| 19.8 | 34 |
| 29.0 | 100 |
| 31.6 | 63 |
| 38.8 | 48 |
| 40.3 | 39 |
| 40.9 | 15 |
| 50.9 | 33 |
| 56.1 | 16 |
| 57.2 | 28 |
| 64.4 | 21 |

Atomic structure:
Lattice parameters (Å, degrees): 4.639 4.639 17.889 90.00 90.00 90.00
Space group I4_1md (No. 109)
Inequivalent atoms, fractional coordinates:
1 Ba 0.000 0.000 0.000 [4 per cell]
2 Cd 0.000 0.000 0.588 [4 per cell]
3 Au 0.000 0.000 0.427 [4 per cell]


[10]
For BaCd2Au4, DFT lattice parameters and positions (PBE) gives the theoretical X-ray diffraction stick pattern in this record (Cu Ka).
Neutral-atom scattering factors, no anomalous dispersion.

Main lines, low angle first (10 to 90 degrees two-theta):
| 2theta | intensity |
| --- | --- |
| 31.0 | 58 |
| 34.1 | 41 |
| 35.5 | 24 |
| 39.6 | 100 |
| 46.8 | 23 |
| 61.0 | 17 |
| 61.9 | 22 |
| 64.7 | 11 |
| 70.1 | 16 |
| 72.6 | 11 |

Atomic structure:
Lattice parameters (Å, degrees): 7.436 7.436 5.771 90.00 90.00 90.00
Space group I4/mmm (No. 139)
Inequivalent atoms, fractional coordinates:
1 Ba 0.000 0.000 0.000 [2 per cell]
2 Cd 0.000 0.500 0.250 [4 per cell]
3 Au 0.192 0.192 0.500 [8 per cell]


[11]
For BaCd4Au, DFT lattice parameters and positions (PBE) gives the theoretical X-ray diffraction stick pattern in this record (Cu Ka).
Neutral-atom scattering factors, no anomalous dispersion.

Main lines, low angle first (10 to 90 degrees two-theta):
| 2theta | intensity |
| --- | --- |
| 10.2 | 40 |
| 26.8 | 19 |
| 29.9 | 100 |
| 32.0 | 37 |
| 32.9 | 24 |
| 34.0 | 77 |
| 38.2 | 50 |
| 38.4 | 46 |
| 39.4 | 43 |
| 55.3 | 31 |

Atomic structure:
Lattice parameters (Å, degrees): 4.710 17.397 7.950 90.00 90.00 90.00
Space group Cmcm (No. 63)
Inequivalent atoms, fractional coordinates:
1 Ba 0.000 0.125 0.250 [4 per cell]
2 Cd 0.000 0.073 0.750 [4 per cell]
3 Cd 0.000 0.322 0.062 [8 per cell]
4 Cd 0.000 0.500 0.000 [4 per cell]
5 Au 0.000 0.236 0.750 [4 per cell]


[12]
For Ba2Cd3Au6, DFT lattice parameters and positions (PBE) gives the theoretical X-ray diffraction stick pattern in this record (Cu Ka).
Neutral-atom scattering factors, no anomalous dispersion.

Main lines, low angle first (10 to 90 degrees two-theta):
| 2theta | intensity |
| --- | --- |
| 20.5 | 67 |
| 30.0 | 92 |
| 30.8 | 92 |
| 32.7 | 88 |
| 38.9 | 100 |
| 39.1 | 30 |
| 41.7 | 56 |
| 42.4 | 30 |
| 43.1 | 40 |
| 54.0 | 43 |

Atomic structure:
Lattice parameters (Å, degrees): 10.822 12.594 4.329 90.00 90.00 90.00
Space group Cmmm (No. 65)
Inequivalent atoms, fractional coordinates:
1 Ba 0.000 0.198 0.000 [4 per cell]
2 Cd 0.000 0.500 0.500 [2 per cell]
3 Cd 0.198 0.500 0.000 [4 per cell]
4 Au 0.123 0.000 0.500 [4 per cell]
5 Au 0.185 0.341 0.500 [8 per cell]


[13]
For BaCd11Au, DFT lattice parameters and positions (PBE) gives the theoretical X-ray diffraction stick pattern in this record (Cu Ka).
Neutral-atom scattering factors, no anomalous dispersion.

Main lines, low angle first (10 to 90 degrees two-theta):
| 2theta | intensity |
| --- | --- |
| 17.3 | 9 |
| 30.2 | 20 |
| 35.0 | 100 |
| 39.3 | 61 |
| 50.4 | 7 |
| 56.8 | 9 |
| 62.8 | 11 |
| 62.9 | 14 |
| 65.7 | 7 |
| 74.0 | 10 |

Atomic structure:
Lattice parameters (Å, degrees): 5.926 14.487 7.818 90.00 112.20 90.00
Space group C2/m (No. 12)
Inequivalent atoms, fractional coordinates:
1 Ba 0.000 0.000 0.000 [2 per cell]
2 Cd 0.000 0.000 0.500 [2 per cell]
3 Cd 0.107 0.391 0.224 [8 per cell]
4 Cd 0.185 0.176 0.359 [8 per cell]
5 Cd 0.250 0.250 0.000 [4 per cell]
6 Au 0.000 0.500 0.500 [2 per cell]


[14]
For Ba3CdAu2, DFT lattice parameters and positions (PBE) gives the theoretical X-ray diffraction stick pattern in this record (Cu Ka).
Neutral-atom scattering factors, no anomalous dispersion.

Main lines, low angle first (10 to 90 degrees two-theta):
| 2theta | intensity |
| --- | --- |
| 30.6 | 100 |
| 31.1 | 50 |
| 43.2 | 9 |
| 44.5 | 18 |
| 54.1 | 18 |
| 55.0 | 38 |
| 63.8 | 11 |
| 73.6 | 8 |
| 88.2 | 8 |
| 89.3 | 10 |

Atomic structure:
Lattice parameters (Å, degrees): 4.069 4.069 12.574 90.00 90.00 90.00
Space group P4/mmm (No. 123)
Inequivalent atoms, fractional coordinates:
1 Ba 0.000 0.000 0.000 [1 per cell]
2 Ba 0.000 0.000 0.317 [2 per cell]
3 Cd 0.500 0.500 0.500 [1 per cell]
4 Au 0.500 0.500 0.163 [2 per cell]